The following is a theoretical X-ray diffraction stick pattern of SmIn6Cu6. It was derived from the GGA-PBE geometry in the Materials Project, using λ = 1.5418 Å (Cu Kα).
Intensities are scaled so that the largest is 100.

Structure:
abc: 5.344 9.331 9.466
angles: 90.00 90.00 90.00
Space group Immm (No. 71)
Inequivalent atoms, fractional coordinates:
Sm (0.000, 0.000, 0.000) x2
In (0.000, 0.000, 0.342) x4
In (0.000, 0.336, 0.000) x4
In (0.000, 0.500, 0.321) x4
Cu (0.000, 0.263, 0.500) x4
Cu (0.250, 0.250, 0.250) x8

Top 10 peaks for 2θ = 10–90°, low angle first:
index  two_theta  d_spacing  I (rel.)
1 0 3  32.97  2.717  90
1 3 0  33.33  2.688  31
2 0 0  33.54  2.672  44
1 2 3  38.34  2.348  97
0 4 0  38.55  2.335  100
2 0 2  38.70  2.327  36
2 2 0  38.84  2.319  49
0 2 4  42.85  2.110  31
2 2 2  43.44  2.083  83
1 6 3  69.66  1.350  36

***

The following is a theoretical X-ray diffraction stick pattern of SmIn2Cu9. It was derived from the GGA-PBE geometry in the Materials Project, using λ = 1.5418 Å (Cu Kα).
Intensities are scaled so that the largest is 100.

Structure:
abc: 8.465 8.465 5.024
angles: 90.00 90.00 90.00
Space group P4/mbm (No. 127)
Inequivalent atoms, fractional coordinates:
Sm (0.000, 0.000, 0.000) x2
In (0.123, 0.377, 0.000) x4
Cu (0.000, 0.500, 0.500) x2
Cu (0.063, 0.206, 0.500) x8
Cu (0.177, 0.677, 0.246) x8

Top 10 peaks for 2θ = 10–90°, low angle first:
index  two_theta  d_spacing  I (rel.)
3 1 0  33.48  2.677  23
2 2 1  34.90  2.571  22
0 0 2  35.75  2.512  18
3 1 1  38.09  2.362  100
2 0 2  41.82  2.160  30
3 2 1  42.50  2.127  39
2 1 2  43.23  2.093  73
4 1 0  44.11  2.053  34
3 1 3  65.78  1.420  18
5 1 2  67.65  1.385  17

***

The following is a theoretical X-ray diffraction stick pattern of SmInCu4. It was derived from the GGA-PBE geometry in the Materials Project, using λ = 1.5418 Å (Cu Kα).
Intensities are scaled so that the largest is 100.

Structure:
abc: 7.298 7.298 7.298
angles: 90.00 90.00 90.00
Space group F-43m (No. 216)
Inequivalent atoms, fractional coordinates:
Sm (0.000, 0.000, 0.000) x4
In (0.250, 0.250, 0.250) x4
Cu (0.124, 0.124, 0.624) x16

Top 10 peaks for 2θ = 10–90°, low angle first:
index  two_theta  d_spacing  I (rel.)
1 1 1  21.09  4.213  5
2 2 0  34.77  2.580  52
3 1 1  41.02  2.200  100
2 2 2  42.93  2.107  21
4 2 2  62.33  1.490  19
5 1 1  66.58  1.404  30
4 4 0  73.39  1.290  23
6 2 0  83.84  1.154  8
5 3 3  87.69  1.113  11
6 2 2  88.97  1.100  7